(1)
Theoretical powder X-ray diffraction pattern
Compound: FeSO5
Radiation: CuKα
Structure: a structure optimized by DFT (GGA+U)
Intensities are scaled so that the largest is 100.

Cell and atoms:
Unit cell a=6.878 b=7.971 c=6.953 alpha=90.00 beta=114.96 gamma=90.00
Space group C2/c (No. 15)
Asymmetric unit:
Fe: 0.000 0.000 0.000
S: 0.000 0.339 0.250
O: 0.000 0.075 0.750
O: 0.083 0.232 0.124
O: 0.175 0.446 0.395

Largest 10 diffraction maxima, by angle, 2θ = 15–90°:
18.06°, rel. 77, hkl 1 1 0
18.86°, rel. 63, hkl 1 1 -1
22.31°, rel. 26, hkl 0 2 0
26.46°, rel. 79, hkl 0 2 1
28.10°, rel. 100, hkl 1 1 -2
28.63°, rel. 70, hkl 2 0 0
36.34°, rel. 31, hkl 0 2 2
36.77°, rel. 36, hkl 1 3 0
45.07°, rel. 24, hkl 3 1 0
54.47°, rel. 32, hkl 2 2 2

***

(2)
Theoretical powder X-ray diffraction pattern
Compound: FeSO6
Radiation: CuKα
Structure: a structure optimized by DFT (GGA+U)
Intensities are scaled so that the largest is 100.

Cell and atoms:
Unit cell a=7.080 b=9.419 c=10.794 alpha=90.00 beta=121.78 gamma=90.00
Space group P2_1/c (No. 14)
Asymmetric unit:
Fe: 0.131 0.198 0.316
S: 0.437 0.603 0.288
O: 0.014 0.180 0.861
O: 0.021 0.183 0.141
O: 0.203 0.057 0.416
O: 0.343 0.037 0.762
O: 0.483 0.666 0.186
O: 0.485 0.679 0.417

Largest 10 diffraction maxima, by angle, 2θ = 15–90°:
17.05°, rel. 23, hkl 1 0 -2
17.49°, rel. 41, hkl 1 1 0
18.84°, rel. 25, hkl 0 2 0
19.35°, rel. 72, hkl 0 0 2
21.21°, rel. 100, hkl 0 2 1
23.99°, rel. 25, hkl 1 2 0
25.49°, rel. 45, hkl 2 0 -2
27.18°, rel. 34, hkl 2 1 -2
27.55°, rel. 55, hkl 2 1 -1
31.21°, rel. 44, hkl 2 1 0

***

Q: Which formula does entry 1 have?
A: FeSO5

***

Copy entry 2 word for word.
Theoretical powder X-ray diffraction pattern
Compound: FeSO6
Radiation: CuKα
Structure: a structure optimized by DFT (GGA+U)
Intensities are scaled so that the largest is 100.

Cell and atoms:
Unit cell a=7.080 b=9.419 c=10.794 alpha=90.00 beta=121.78 gamma=90.00
Space group P2_1/c (No. 14)
Asymmetric unit:
Fe: 0.131 0.198 0.316
S: 0.437 0.603 0.288
O: 0.014 0.180 0.861
O: 0.021 0.183 0.141
O: 0.203 0.057 0.416
O: 0.343 0.037 0.762
O: 0.483 0.666 0.186
O: 0.485 0.679 0.417

Largest 10 diffraction maxima, by angle, 2θ = 15–90°:
17.05°, rel. 23, hkl 1 0 -2
17.49°, rel. 41, hkl 1 1 0
18.84°, rel. 25, hkl 0 2 0
19.35°, rel. 72, hkl 0 0 2
21.21°, rel. 100, hkl 0 2 1
23.99°, rel. 25, hkl 1 2 0
25.49°, rel. 45, hkl 2 0 -2
27.18°, rel. 34, hkl 2 1 -2
27.55°, rel. 55, hkl 2 1 -1
31.21°, rel. 44, hkl 2 1 0